Structure and computed powder XRD pattern of NaAcBeN2 (a DFT-relaxed cell (GGA-PBE, Alexandria); CuKα).
No peak broadening, texture or thermal motion is included.

Structural model:
Unit cell a=5.7737 b=4.1852 c=6.8987 alpha=90.00 beta=101.46 gamma=90.00
Sites, in units of the cell vectors:
Na (0.0000, 0.0462, 0.2500)
Na (0.0000, 0.9538, 0.7500)
Ac (0.5000, 0.2892, 0.7500)
Ac (0.5000, 0.7108, 0.2500)
Be (0.0000, 0.5000, 0.0000)
Be (0.0000, 0.5000, 0.5000)
N (0.2391, 0.3208, 0.0278)
N (0.2391, 0.6792, 0.5278)
N (0.7609, 0.3208, 0.4722)
N (0.7609, 0.6792, 0.9722)

The 8 most intense peaks (10° ≤ 2θ ≤ 90°), most intense first:
- 2θ 15.66, d = 5.659 Å, rel. 100
- 2θ 25.02, d = 3.559 Å, rel. 81
- 2θ 31.05, d = 2.880 Å, rel. 71
- 2θ 45.73, d = 1.984 Å, rel. 57
- 2θ 28.19, d = 3.165 Å, rel. 57
- 2θ 26.36, d = 3.381 Å, rel. 39
- 2θ 27.93, d = 3.195 Å, rel. 35
- 2θ 51.39, d = 1.778 Å, rel. 31



Structure and computed powder XRD pattern of AcBeNbN3 (a DFT-relaxed cell (GGA-PBE, Alexandria); CuKα).
No peak broadening, texture or thermal motion is included.

Structural model:
Unit cell a=7.0902 b=3.2718 c=7.1167 alpha=90.00 beta=107.99 gamma=90.00
Sites, in units of the cell vectors:
Ac (0.2016, 0.2500, 0.2340)
Ac (0.7984, 0.7500, 0.7660)
Be (0.0795, 0.2500, 0.6061)
Be (0.9205, 0.7500, 0.3939)
Nb (0.3363, 0.7500, 0.8428)
Nb (0.6637, 0.2500, 0.1572)
N (0.1225, 0.2500, 0.8572)
N (0.1658, 0.7500, 0.5381)
N (0.4565, 0.7500, 0.1603)
N (0.5435, 0.2500, 0.8397)
N (0.8342, 0.2500, 0.4619)
N (0.8775, 0.7500, 0.1428)

The 8 most intense peaks (10° ≤ 2θ ≤ 90°), most intense first:
- 2θ 30.35, d = 2.945 Å, rel. 100
- 2θ 37.74, d = 2.383 Å, rel. 74
- 2θ 26.33, d = 3.384 Å, rel. 48
- 2θ 31.13, d = 2.873 Å, rel. 40
- 2θ 38.32, d = 2.349 Å, rel. 36
- 2θ 26.43, d = 3.372 Å, rel. 36
- 2θ 21.28, d = 4.176 Å, rel. 35
- 2θ 43.39, d = 2.086 Å, rel. 30



Structure and computed powder XRD pattern of Ac3BeP2N6 (a DFT-relaxed cell (GGA-PBE, Alexandria); CuKα).
No peak broadening, texture or thermal motion is included.

Structural model:
Unit cell a=5.5987 b=5.5987 c=6.5731 alpha=90.00 beta=90.00 gamma=120.00
Sites, in units of the cell vectors:
Ac (0.0000, 0.0000, 0.0000)
Ac (0.3333, 0.6667, 0.6591)
Ac (0.6667, 0.3333, 0.3409)
Be (0.0000, 0.0000, 0.5000)
P (0.3333, 0.6667, 0.2153)
P (0.6667, 0.3333, 0.7847)
N (0.1726, 0.3453, 0.3069)
N (0.1726, 0.8274, 0.3069)
N (0.3453, 0.1726, 0.6931)
N (0.6547, 0.8274, 0.3069)
N (0.8274, 0.1726, 0.6931)
N (0.8274, 0.6547, 0.6931)

The 8 most intense peaks (10° ≤ 2θ ≤ 90°), most intense first:
- 2θ 22.79, d = 3.902 Å, rel. 100
- 2θ 31.97, d = 2.799 Å, rel. 67
- 2θ 32.92, d = 2.720 Å, rel. 60
- 2θ 39.62, d = 2.275 Å, rel. 35
- 2θ 46.55, d = 1.951 Å, rel. 30
- 2θ 57.59, d = 1.601 Å, rel. 25
- 2θ 51.79, d = 1.765 Å, rel. 25
- 2θ 53.08, d = 1.725 Å, rel. 24



Structure and computed powder XRD pattern of AcPa2BeN5 (a DFT-relaxed cell (GGA-PBE, Alexandria); CuKα).
No peak broadening, texture or thermal motion is included.

Structural model:
Unit cell a=9.1616 b=9.1616 c=8.4302 alpha=90.00 beta=90.00 gamma=158.91
Sites, in units of the cell vectors:
Ac (0.2387, 0.7613, 0.5000)
Ac (0.7613, 0.2387, 0.0000)
Pa (0.0898, 0.9102, 0.7841)
Pa (0.0918, 0.9082, 0.2138)
Pa (0.9082, 0.0918, 0.7138)
Pa (0.9102, 0.0898, 0.2841)
Be (0.4924, 0.5076, 0.9972)
Be (0.5076, 0.4924, 0.4972)
N (0.0246, 0.9754, 0.5554)
N (0.3286, 0.6714, 0.8126)
N (0.3329, 0.6671, 0.1980)
N (0.3936, 0.6064, 0.5095)
N (0.4907, 0.5093, 0.7960)
N (0.5093, 0.4907, 0.2960)
N (0.6064, 0.3936, 0.0095)
N (0.6671, 0.3329, 0.6980)
N (0.6714, 0.3286, 0.3126)
N (0.9754, 0.0246, 0.0554)

The 8 most intense peaks (10° ≤ 2θ ≤ 90°), most intense first:
- 2θ 29.03, d = 3.076 Å, rel. 100
- 2θ 23.30, d = 3.818 Å, rel. 81
- 2θ 42.63, d = 2.121 Å, rel. 64
- 2θ 29.76, d = 3.002 Å, rel. 56
- 2θ 27.05, d = 3.296 Å, rel. 55
- 2θ 32.38, d = 2.765 Å, rel. 46
- 2θ 34.54, d = 2.596 Å, rel. 44
- 2θ 42.26, d = 2.138 Å, rel. 41